Entry 1:
For Mg3Bi3Rh, a crystal structure in Alexandria, relaxed with GGA-PBE gives the computed X-ray diffraction stick pattern in this record (Cu Ka).
Lines closer than 0.1° are merged.

Peak list (10 most intense, 2θ = 5–70°, in order of rising 2θ)
8.3°, intensity 100
14.4°, intensity 11
22.1°, intensity 38
24.8°, intensity 15
28.8°, intensity 11
32.4°, intensity 17
34.6°, intensity 19
37.6°, intensity 20
38.6°, intensity 35
38.8°, intensity 15

a = 12.2897 Å, b = 12.2897 Å, c = 3.8087 Å
α = 90.00°, β = 90.00°, γ = 120.00°
Space group P6_3/m (No. 176)
Symmetry-distinct sites (fractional):
Mg1 0.0929 0.6160 0.2500
Bi1 0.1832 0.4683 0.7500
Rh1 0.3333 0.6667 0.2500

---

Entry 2:
For HfCr3S, a crystal structure in Alexandria, relaxed with GGA-PBE gives the computed X-ray diffraction stick pattern in this record (Cu Ka).
Lines closer than 0.1° are merged.

Peak list (8 most intense, 2θ = 5–70°, in order of rising 2θ)
21.1°, intensity 23
30.1°, intensity 67
37.1°, intensity 100
43.1°, intensity 71
48.4°, intensity 13
53.4°, intensity 28
62.5°, intensity 44
66.8°, intensity 7

a = 4.2022 Å, b = 4.2022 Å, c = 4.2022 Å
α = 90.00°, β = 90.00°, γ = 90.00°
Space group Pm-3m (No. 221)
Symmetry-distinct sites (fractional):
Hf1 0.0000 0.0000 0.0000
Cr1 0.0000 0.5000 0.5000
S1 0.5000 0.5000 0.5000

---

Entry 3:
For PrSm3Dy3, a crystal structure in Alexandria, relaxed with GGA-PBE gives the computed X-ray diffraction stick pattern in this record (Cu Ka).
Lines closer than 0.1° are merged.

Peak list (10 most intense, 2θ = 5–70°, in order of rising 2θ)
23.7°, intensity 25
28.6°, intensity 33
30.7°, intensity 35
31.6°, intensity 100
31.8°, intensity 87
32.4°, intensity 55
37.5°, intensity 25
52.4°, intensity 21
55.8°, intensity 19
65.5°, intensity 17

a = 8.7246 Å, b = 8.7246 Å, c = 22.0569 Å
α = 90.00°, β = 90.00°, γ = 120.00°
Space group R-3 (No. 148, hexagonal axes)
Symmetry-distinct sites (fractional):
Pr1 0.0000 0.0000 0.1526
Sm1 0.0518 0.6035 0.3805
Dy1 0.0042 0.7727 0.5587

---

Entry 4:
For K2Zn2HgI6, a crystal structure in Alexandria, relaxed with GGA-PBE gives the computed X-ray diffraction stick pattern in this record (Cu Ka).
Lines closer than 0.1° are merged.

Peak list (10 most intense, 2θ = 5–70°, in order of rising 2θ)
14.3°, intensity 31
17.3°, intensity 42
18.0°, intensity 43
20.4°, intensity 52
20.7°, intensity 58
21.2°, intensity 38
22.2°, intensity 61
25.7°, intensity 100
29.0°, intensity 30
31.8°, intensity 34

a = 8.0896 Å, b = 8.7383 Å, c = 9.1189 Å
α = 78.31°, β = 70.21°, γ = 75.73°
Space group P-1 (No. 2)
Symmetry-distinct sites (fractional):
K1 0.0087 0.2170 0.2128
Zn1 0.4964 0.1396 0.8225
Hg1 0.0000 0.5000 0.5000
I1 0.2788 0.4089 0.8564
I2 0.2835 0.9533 0.4361
I3 0.3043 0.9055 0.9737

---

Entry 5:
For Ba2Al2Si, a crystal structure in Alexandria, relaxed with GGA-PBE gives the computed X-ray diffraction stick pattern in this record (Cu Ka).
Lines closer than 0.1° are merged.

Peak list (10 most intense, 2θ = 5–70°, in order of rising 2θ)
17.3°, intensity 45
21.9°, intensity 33
25.9°, intensity 27
28.0°, intensity 100
31.3°, intensity 65
33.7°, intensity 47
34.9°, intensity 31
39.0°, intensity 28
53.4°, intensity 27
53.8°, intensity 27

a = 5.1360 Å, b = 4.2428 Å, c = 13.7441 Å
α = 90.00°, β = 90.00°, γ = 90.00°
Space group Amm2 (No. 38)
Symmetry-distinct sites (fractional):
Ba1 0.0000 0.0000 0.0000
Ba2 0.0000 0.0000 0.2484
Al1 0.5000 0.0000 0.6225
Al2 0.5000 0.0000 0.8259
Si1 0.5000 0.0000 0.4283

---

Entry 6:
For Li5Mg5Cd2, a crystal structure in Alexandria, relaxed with GGA-PBE gives the computed X-ray diffraction stick pattern in this record (Cu Ka).
Lines closer than 0.1° are merged.

Peak list (10 most intense, 2θ = 5–70°, in order of rising 2θ)
17.5°, intensity 56
18.2°, intensity 51
21.3°, intensity 35
23.9°, intensity 26
25.5°, intensity 43
29.7°, intensity 33
36.9°, intensity 32
37.0°, intensity 65
37.4°, intensity 100
53.6°, intensity 31

a = 10.2481 Å, b = 4.8060 Å, c = 10.3664 Å
α = 90.00°, β = 109.99°, γ = 90.00°
Space group C2/m (No. 12)
Symmetry-distinct sites (fractional):
Li1 0.0000 0.0000 0.0000
Li2 0.1609 0.0000 0.4874
Li3 0.2462 0.5000 0.7523
Mg1 0.0000 0.5000 0.5000
Mg2 0.0966 0.5000 0.2605
Mg3 0.1589 0.5000 0.9931
Cd1 0.0882 0.0000 0.7498

---

Entry 7:
For Na4ThS4, a crystal structure in Alexandria, relaxed with GGA-PBE gives the computed X-ray diffraction stick pattern in this record (Cu Ka).
Lines closer than 0.1° are merged.

Peak list (10 most intense, 2θ = 5–70°, in order of rising 2θ)
10.5°, intensity 100
13.1°, intensity 68
15.2°, intensity 16
22.6°, intensity 34
23.1°, intensity 28
30.2°, intensity 59
32.1°, intensity 24
35.0°, intensity 21
44.5°, intensity 16
44.9°, intensity 18

a = 13.7717 Å, b = 4.1856 Å, c = 9.9831 Å
α = 90.00°, β = 122.13°, γ = 90.00°
Space group C2/m (No. 12)
Symmetry-distinct sites (fractional):
Na1 0.1389 0.0000 0.3914
Na2 0.2057 0.5000 0.8211
Th1 0.0000 0.5000 0.0000
S1 0.0767 0.0000 0.8862
S2 0.2110 0.5000 0.2827

---

Entry 8:
For Tm4Cd3Fe, a crystal structure in Alexandria, relaxed with GGA-PBE gives the computed X-ray diffraction stick pattern in this record (Cu Ka).
Lines closer than 0.1° are merged.

Peak list (10 most intense, 2θ = 5–70°, in order of rising 2θ)
26.3°, intensity 7
31.2°, intensity 14
34.6°, intensity 100
37.6°, intensity 49
38.9°, intensity 8
54.2°, intensity 17
55.2°, intensity 12
59.9°, intensity 10
65.9°, intensity 30
69.7°, intensity 11

a = 3.3824 Å, b = 3.3824 Å, c = 16.1944 Å
α = 90.00°, β = 90.00°, γ = 90.00°
Space group P4/mmm (No. 123)
Symmetry-distinct sites (fractional):
Tm1 0.0000 0.0000 0.0970
Tm2 0.0000 0.0000 0.3652
Cd1 0.5000 0.5000 0.2343
Cd2 0.5000 0.5000 0.5000
Fe1 0.5000 0.5000 0.0000

---

Entry 9:
For La2PrSm7Cd2, a crystal structure in Alexandria, relaxed with GGA-PBE gives the computed X-ray diffraction stick pattern in this record (Cu Ka).
Lines closer than 0.1° are merged.

Peak list (10 most intense, 2θ = 5–70°, in order of rising 2θ)
30.4°, intensity 47
30.7°, intensity 100
31.1°, intensity 15
31.6°, intensity 27
32.4°, intensity 44
35.1°, intensity 25
36.9°, intensity 26
49.8°, intensity 24
56.7°, intensity 16
62.2°, intensity 33

a = 6.9502 Å, b = 11.0667 Å, c = 10.2690 Å
α = 90.00°, β = 90.00°, γ = 90.00°
Space group Cmmm (No. 65)
Symmetry-distinct sites (fractional):
La1 0.0000 0.0000 0.1690
Pr1 0.0000 0.5000 0.5000
Sm1 0.0000 0.0000 0.5000
Sm2 0.0000 0.2730 0.0000
Sm3 0.2500 0.2500 0.3207
Cd1 0.0000 0.5000 0.1919

---

Entry 10:
For Ti7ReRh2, a crystal structure in Alexandria, relaxed with GGA-PBE gives the computed X-ray diffraction stick pattern in this record (Cu Ka).
Lines closer than 0.1° are merged.

Peak list (10 most intense, 2θ = 5–70°, in order of rising 2θ)
16.8°, intensity 28
19.4°, intensity 13
27.5°, intensity 100
32.4°, intensity 21
33.9°, intensity 23
39.4°, intensity 83
43.0°, intensity 11
48.7°, intensity 42
56.9°, intensity 54
64.3°, intensity 19

a = 9.1589 Å, b = 9.1589 Å, c = 9.1589 Å
α = 90.00°, β = 90.00°, γ = 90.00°
Space group Fm-3m (No. 225)
Symmetry-distinct sites (fractional):
Ti1 0.0000 0.0000 0.0000
Ti2 0.0000 0.0000 0.2458
Re1 0.0000 0.0000 0.5000
Rh1 0.2500 0.2500 0.2500

---

Entry 11:
For PmY5HoTh2, a crystal structure in Alexandria, relaxed with GGA-PBE gives the computed X-ray diffraction stick pattern in this record (Cu Ka).
Lines closer than 0.1° are merged.

Peak list (10 most intense, 2θ = 5–70°, in order of rising 2θ)
23.1°, intensity 22
28.4°, intensity 100
30.8°, intensity 70
34.0°, intensity 17
36.9°, intensity 30
37.1°, intensity 23
42.3°, intensity 32
51.8°, intensity 16
56.3°, intensity 20
64.0°, intensity 19

a = 8.8951 Å, b = 8.8951 Å, c = 15.2912 Å
α = 90.00°, β = 90.00°, γ = 90.00°
Space group I4/mcm (No. 140)
Symmetry-distinct sites (fractional):
Pm1 0.0000 0.0000 0.2500
Y1 0.0000 0.0000 0.0000
Y2 0.2084 0.2916 0.1373
Ho1 0.0000 0.5000 0.2500
Th1 0.1181 0.3819 0.5000

---

Entry 12:
For HoTh4O10, a crystal structure in Alexandria, relaxed with GGA-PBE gives the computed X-ray diffraction stick pattern in this record (Cu Ka).
Lines closer than 0.1° are merged.

Peak list (10 most intense, 2θ = 5–70°, in order of rising 2θ)
27.6°, intensity 100
27.8°, intensity 33
32.1°, intensity 48
45.9°, intensity 34
46.1°, intensity 33
54.5°, intensity 47
54.7°, intensity 15
57.1°, intensity 10
57.5°, intensity 3
67.1°, intensity 10

a = 3.9556 Å, b = 3.9556 Å, c = 48.1163 Å
α = 90.00°, β = 90.00°, γ = 120.00°
Space group R-3m (No. 166, hexagonal axes)
Symmetry-distinct sites (fractional):
Ho1 0.0000 0.0000 0.0000
Th1 0.0000 0.0000 0.2005
Th2 0.0000 0.0000 0.3982
O1 0.0000 0.0000 0.0486
O2 0.0000 0.0000 0.1498
O3 0.0000 0.0000 0.2512
O4 0.0000 0.0000 0.3484
O5 0.0000 0.0000 0.4492